Structure and computed powder diffractogram of Ag3AsS3 (a DFT-relaxed cell (GGA-PBE, the Materials Project); Cu Kα (λ = 1.5418 Å)).
Kinematic intensities with the Lorentz-polarization factor, no thermal factor.

Cell and atoms:
```
data_Ag3AsS3
_space_group_name_H-M_alt 'P 1'
_space_group_IT_number 1
_space_group_name_Hall 'P 1'
_cell_length_a 10.3314
_cell_length_b 10.3314
_cell_length_c 6.4250
_cell_angle_alpha 90.64
_cell_angle_beta 90.64
_cell_angle_gamma 150.18
loop_
_atom_site_label
_atom_site_type_symbol
_atom_site_fract_x
_atom_site_fract_y
_atom_site_fract_z
_atom_site_occupancy
Ag1 Ag 0.0663 0.6498 0.2962 1
Ag2 Ag 0.0799 0.9201 0.5000 1
Ag3 Ag 0.5760 0.9115 0.2708 1
Ag4 Ag 0.6498 0.0663 0.7962 1
Ag5 Ag 0.9115 0.5760 0.7708 1
Ag6 Ag 0.9201 0.0799 0.0000 1
As1 As 0.4766 0.5828 0.2457 1
As2 As 0.5828 0.4766 0.7457 1
S1 S 0.1154 0.4119 0.7771 1
S2 S 0.2115 0.6745 0.9270 1
S3 S 0.4119 0.1154 0.2771 1
S4 S 0.6745 0.2115 0.4270 1
S5 S 0.7290 0.7821 0.5467 1
S6 S 0.7821 0.7290 0.0467 1
```

Principal peaks in the range 2θ from 10° to 90°, sorted by position:
- 16.42 deg, d 5.399, I 100
- 17.28 deg, d 5.133, I 87
- 22.60 deg, d 3.935, I 91
- 25.95 deg, d 3.434, I 100
- 27.95 deg, d 3.192, I 60
- 29.23 deg, d 3.056, I 73
- 30.96 deg, d 2.888, I 69
- 35.96 deg, d 2.498, I 75
- 38.71 deg, d 2.326, I 68
- 43.60 deg, d 2.076, I 63